For Nd2YCd5, a PBE-relaxed structure gives the theoretical powder X-ray diffraction pattern in this record (a wavelength of 1.5418 Å).
Neutral-atom scattering factors, no anomalous dispersion.

Main lines, by intensity (10° ≤ 2θ ≤ 90°):
| 2θ (°) | Rel. int. | h k l |
| --- | --- | --- |
| 33.7 | 100 | 1 1 4 |
| 34.7 | 48 | 2 0 0 |
| 61.6 | 33 | 3 1 4 |
| 49.9 | 17 | 2 2 0 |
| 59.5 | 15 | 2 0 8 |
| 70.8 | 10 | 2 2 8 |
| 46.7 | 8 | 0 0 8 |
| 83.7 | 8 | 4 2 0 |
| 83.1 | 7 | 3 3 4 |
| 73.3 | 5 | 4 0 0 |

Cell and atoms:
```
data_Nd2YCd5
_chemical_formula_sum 'Nd4 Y2 Cd10'
_symmetry_space_group_name_H-M 'I 4/m m m'
_symmetry_Int_Tables_number 139
_symmetry_space_group_name_Hall '-I 4 2'
_cell_length_a 5.1651
_cell_length_b 5.1651
_cell_length_c 15.5557
_cell_angle_alpha 90.00
_cell_angle_beta 90.00
_cell_angle_gamma 90.00
loop_
_atom_site_label
_atom_site_type_symbol
_atom_site_fract_x
_atom_site_fract_y
_atom_site_fract_z
Nd1 Nd 0.0000 0.0000 0.2375
Y1 Y 0.0000 0.0000 0.5000
Cd1 Cd 0.0000 0.0000 0.0000
Cd2 Cd 0.0000 0.5000 0.1146
```



For TbUPt6, a PBE-relaxed structure gives the theoretical powder X-ray diffraction pattern in this record (a wavelength of 1.5418 Å).
Neutral-atom scattering factors, no anomalous dispersion.

Main lines, by intensity (10° ≤ 2θ ≤ 90°):
| 2θ (°) | Rel. int. | h k l |
| --- | --- | --- |
| 37.6 | 100 | 1 1 2 |
| 43.7 | 49 | 2 0 0 |
| 76.3 | 39 | 3 1 2 |
| 63.6 | 33 | 2 2 0 |
| 80.3 | 12 | 2 2 4 |
| 10.7 | 2 | 0 0 1 |
| 45.1 | 1 | 1 1 3 |
| 24.0 | 1 | 1 0 1 |

Cell and atoms:
```
data_TbUPt6
_chemical_formula_sum 'Tb1 U1 Pt6'
_symmetry_space_group_name_H-M 'P 4/m m m'
_symmetry_Int_Tables_number 123
_symmetry_space_group_name_Hall '-P 4 2'
_cell_length_a 4.1425
_cell_length_b 4.1425
_cell_length_c 8.2725
_cell_angle_alpha 90.00
_cell_angle_beta 90.00
_cell_angle_gamma 90.00
loop_
_atom_site_label
_atom_site_type_symbol
_atom_site_fract_x
_atom_site_fract_y
_atom_site_fract_z
Tb1 Tb 0.0000 0.0000 0.0000
U1 U 0.0000 0.0000 0.5000
Pt1 Pt 0.0000 0.5000 0.2547
Pt2 Pt 0.5000 0.5000 0.0000
Pt3 Pt 0.5000 0.5000 0.5000
```



Q: Number 1 is which compound?
A: Nd2YCd5